[1]
For LaCe2Mn3O9, the PBE+U geometry in the Materials Project gives the calculated XRD peak list in this record (λ = 1.5418 Å (Cu Kα)).
Neutral-atom scattering factors, no anomalous dispersion.

Structural model:
Unit cell a=8.780 b=8.780 c=3.938 alpha=90.00 beta=90.00 gamma=143.05
Fractional positions:
La: 0.000 0.000 0.000
Ce: 0.332 0.668 0.000
Ce: 0.668 0.332 0.000
Mn: 0.167 0.833 0.500
Mn: 0.500 0.500 0.500
Mn: 0.833 0.167 0.500
O: 0.000 0.500 0.500
O: 0.168 0.832 0.000
O: 0.169 0.336 0.500
O: 0.336 0.169 0.500
O: 0.500 0.000 0.500
O: 0.500 0.500 0.000
O: 0.664 0.831 0.500
O: 0.831 0.664 0.500
O: 0.832 0.168 0.000

Peak list (6 most intense, 10 to 80 degrees two-theta, in order of rising 2θ)
| two_theta | I (rel.) |
| --- | --- |
| 22.61 | 15 |
| 32.19 | 100 |
| 39.69 | 20 |
| 46.16 | 33 |
| 57.35 | 26 |
| 67.31 | 16 |

---

[2]
For LiCeMo2O8, the PBE+U geometry in the Materials Project gives the calculated XRD peak list in this record (λ = 1.5418 Å (Cu Kα)).
Neutral-atom scattering factors, no anomalous dispersion.

Structural model:
Unit cell a=6.856 b=6.856 c=6.856 alpha=134.42 beta=134.42 gamma=66.43
Fractional positions:
Li: 0.000 0.000 0.000
Ce: 0.750 0.250 0.500
Mo: 0.250 0.750 0.500
Mo: 0.500 0.500 0.000
O: 0.014 0.418 0.098
O: 0.085 0.986 0.404
O: 0.170 0.559 0.904
O: 0.319 0.915 0.902
O: 0.441 0.345 0.611
O: 0.582 0.681 0.596
O: 0.655 0.267 0.096
O: 0.733 0.830 0.389

Peak list (6 most intense, 10 to 80 degrees two-theta, in order of rising 2θ)
| two_theta | I (rel.) |
| --- | --- |
| 18.41 | 29 |
| 28.41 | 100 |
| 33.75 | 17 |
| 46.61 | 32 |
| 57.15 | 27 |
| 75.32 | 19 |

---

[3]
For LiCeW2O8, the PBE+U geometry in the Materials Project gives the calculated XRD peak list in this record (λ = 1.5418 Å (Cu Kα)).
Neutral-atom scattering factors, no anomalous dispersion.

Structural model:
Unit cell a=7.226 b=7.462 c=7.559 alpha=113.81 beta=115.71 gamma=91.48
Fractional positions:
Li: 0.249 0.323 0.490
Li: 0.751 0.677 0.510
Ce: 0.316 0.712 0.037
Ce: 0.684 0.288 0.963
W: 0.148 0.104 0.786
W: 0.238 0.708 0.470
W: 0.762 0.292 0.530
W: 0.852 0.896 0.214
O: 0.019 0.173 0.492
O: 0.051 0.462 0.248
O: 0.117 0.828 0.242
O: 0.206 0.009 0.983
O: 0.315 0.635 0.693
O: 0.321 0.363 0.940
O: 0.365 0.011 0.700
O: 0.458 0.696 0.409
O: 0.542 0.304 0.591
O: 0.635 0.989 0.300
O: 0.679 0.637 0.060
O: 0.685 0.365 0.307
O: 0.794 0.991 0.017
O: 0.883 0.172 0.758
O: 0.949 0.538 0.752
O: 0.981 0.827 0.508

Peak list (6 most intense, 10 to 80 degrees two-theta, in order of rising 2θ)
| two_theta | I (rel.) |
| --- | --- |
| 14.58 | 70 |
| 17.39 | 68 |
| 21.69 | 77 |
| 27.19 | 55 |
| 28.19 | 42 |
| 29.40 | 100 |

---

[4]
For NaCeMnWO6, the PBE+U geometry in the Materials Project gives the calculated XRD peak list in this record (λ = 1.5418 Å (Cu Kα)).
Neutral-atom scattering factors, no anomalous dispersion.

Structural model:
Unit cell a=5.703 b=5.703 c=5.703 alpha=60.00 beta=60.00 gamma=60.00
Fractional positions:
Na: 0.000 0.000 0.000
Ce: 0.500 0.500 0.500
Mn: 0.250 0.250 0.250
W: 0.750 0.750 0.750
O: 0.510 0.510 0.990
O: 0.510 0.990 0.510
O: 0.510 0.990 0.990
O: 0.990 0.510 0.510
O: 0.990 0.510 0.990
O: 0.990 0.990 0.510

Peak list (6 most intense, 10 to 80 degrees two-theta, in order of rising 2θ)
| two_theta | I (rel.) |
| --- | --- |
| 19.06 | 50 |
| 31.37 | 100 |
| 36.97 | 27 |
| 44.96 | 33 |
| 55.85 | 40 |
| 65.47 | 20 |

---

[5]
For CeMnO3, the PBE+U geometry in the Materials Project gives the calculated XRD peak list in this record (λ = 1.5418 Å (Cu Kα)).
Neutral-atom scattering factors, no anomalous dispersion.

Structural model:
Unit cell a=3.923 b=3.923 c=3.923 alpha=90.00 beta=90.00 gamma=90.00
Fractional positions:
Ce: 0.000 0.000 0.000
Mn: 0.500 0.500 0.500
O: 0.000 0.500 0.500
O: 0.500 0.000 0.500
O: 0.500 0.500 0.000

Peak list (6 most intense, 10 to 80 degrees two-theta, in order of rising 2θ)
| two_theta | I (rel.) |
| --- | --- |
| 32.27 | 100 |
| 39.80 | 20 |
| 46.29 | 33 |
| 57.55 | 38 |
| 67.54 | 19 |
| 76.84 | 16 |

---

[6]
For Ce2MnSb2O, the PBE+U geometry in the Materials Project gives the calculated XRD peak list in this record (λ = 1.5418 Å (Cu Kα)).
Neutral-atom scattering factors, no anomalous dispersion.

Structural model:
Unit cell a=3.255 b=3.255 c=16.164 alpha=90.00 beta=90.00 gamma=90.00
Fractional positions:
Ce: 0.000 0.000 0.127
Ce: 0.000 0.000 0.873
Mn: 0.000 0.000 0.500
Sb: 0.000 0.000 0.330
Sb: 0.000 0.000 0.670
O: 0.000 0.000 0.000

Peak list (6 most intense, 10 to 80 degrees two-theta, in order of rising 2θ)
| two_theta | I (rel.) |
| --- | --- |
| 22.00 | 22 |
| 27.40 | 100 |
| 27.59 | 19 |
| 35.41 | 27 |
| 39.13 | 38 |
| 39.28 | 29 |